# 1
This entry pairs a crystal structure of CeSm5Y12 with its calculated PXRD pattern. Radiation: copper Kα. Structure: a cell relaxed with PBE.

Principal peaks in the range 10° ≤ 2θ ≤ 90°, in order of falling intensity:
- d 2.932, I = 100
- d 2.539, I = 50
- d 1.531, I = 41
- d 1.796, I = 35
- d 1.165, I = 17
- d 1.136, I = 16
- d 1.466, I = 12
- d 7.613, I = 7

Crystal structure
```
data_CeSm5Y12
_chemical_formula_sum 'Ce2 Sm10 Y24'
_space_group_name_H-M_alt 'C m m m'
_space_group_IT_number 65
_space_group_name_Hall '-C 2 2'
_cell_length_a 15.227
_cell_length_b 15.240
_cell_length_c 5.080
_cell_angle_alpha 90.00
_cell_angle_beta 90.00
_cell_angle_gamma 90.00
loop_
_atom_site_label
_atom_site_type_symbol
_atom_site_fract_x
_atom_site_fract_y
_atom_site_fract_z
Ce1 Ce 0.000 0.000 0.000
Sm1 Sm 0.000 0.165 0.500
Sm2 Sm 0.000 0.333 0.000
Sm3 Sm 0.000 0.500 0.500
Y1 Y 0.165 0.000 0.500
Y2 Y 0.166 0.166 0.000
Y3 Y 0.166 0.334 0.500
Y4 Y 0.167 0.500 0.000
```

# 2
This entry pairs a crystal structure of Tb9DyTm2 with its calculated PXRD pattern. Radiation: copper Kα. Structure: a cell relaxed with PBE.

Principal peaks in the range 10° ≤ 2θ ≤ 90°, in order of falling intensity:
- d 2.797, I = 100
- d 2.828, I = 51
- d 1.478, I = 30
- d 2.956, I = 27
- d 1.621, I = 18
- d 1.615, I = 18
- d 1.988, I = 18
- d 2.524, I = 18

Crystal structure
```
data_Tb9DyTm2
_chemical_formula_sum 'Tb9 Dy1 Tm2'
_space_group_name_H-M_alt 'P 6/m m m'
_space_group_IT_number 191
_space_group_name_Hall '-P 6 2'
_cell_length_a 11.1870
_cell_length_b 11.1870
_cell_length_c 3.4826
_cell_angle_alpha 90.00
_cell_angle_beta 90.00
_cell_angle_gamma 120.00
loop_
_atom_site_label
_atom_site_type_symbol
_atom_site_fract_x
_atom_site_fract_y
_atom_site_fract_z
Tb1 Tb 0.0000 0.5000 0.0000
Tb2 Tb 0.1764 0.3528 0.5000
Dy1 Dy 0.0000 0.0000 0.0000
Tm1 Tm 0.3333 0.6667 0.0000
```

# 3
This entry pairs a crystal structure of Nd2Y7Ho4 with its calculated PXRD pattern. Radiation: copper Kα. Structure: a cell relaxed with PBE.

Principal peaks in the range 10° ≤ 2θ ≤ 90°, in order of falling intensity:
- d 2.821, I = 100
- d 2.956, I = 89
- d 3.114, I = 73
- d 2.544, I = 66
- d 2.558, I = 57
- d 5.913, I = 48
- d 2.766, I = 40
- d 1.619, I = 38

Crystal structure
```
data_Nd2Y7Ho4
_chemical_formula_sum 'Nd4 Y14 Ho8'
_space_group_name_H-M_alt 'C 1 2/m 1'
_space_group_IT_number 12
_space_group_name_Hall '-C 2y'
_cell_length_a 6.364
_cell_length_b 11.378
_cell_length_c 11.841
_cell_angle_alpha 90.00
_cell_angle_beta 93.00
_cell_angle_gamma 90.00
loop_
_atom_site_label
_atom_site_type_symbol
_atom_site_fract_x
_atom_site_fract_y
_atom_site_fract_z
Nd1 Nd 0.000 0.164 0.000
Y1 Y 0.000 0.500 0.000
Y2 Y 0.183 0.000 0.262
Y3 Y 0.185 0.320 0.235
Ho1 Ho 0.000 0.226 0.500
Ho2 Ho 0.213 0.500 0.445
```

# 4
This entry pairs a crystal structure of Tb2Pr2Dy7 with its calculated PXRD pattern. Radiation: copper Kα. Structure: a cell relaxed with PBE.

Principal peaks in the range 10° ≤ 2θ ≤ 90°, in order of falling intensity:
- d 2.808, I = 100
- d 2.881, I = 49
- d 2.662, I = 38
- d 2.651, I = 29
- d 2.820, I = 28
- d 2.909, I = 28
- d 3.490, I = 23
- d 2.015, I = 17

Crystal structure
```
data_Tb2Pr2Dy7
_chemical_formula_sum 'Tb4 Pr4 Dy14'
_space_group_name_H-M_alt 'C 1 2/m 1'
_space_group_IT_number 12
_space_group_name_Hall '-C 2y'
_cell_length_a 11.310
_cell_length_b 11.523
_cell_length_c 6.072
_cell_angle_alpha 90.00
_cell_angle_beta 113.36
_cell_angle_gamma 90.00
loop_
_atom_site_label
_atom_site_type_symbol
_atom_site_fract_x
_atom_site_fract_y
_atom_site_fract_z
Tb1 Tb 0.000 0.218 0.000
Pr1 Pr 0.232 0.000 0.091
Dy1 Dy 0.000 0.000 0.500
Dy2 Dy 0.088 0.500 0.302
Dy3 Dy 0.174 0.236 0.673
```

# 5
This entry pairs a crystal structure of DyB4O7 with its calculated PXRD pattern. Radiation: copper Kα. Structure: a cell relaxed with PBE.

Principal peaks in the range 10° ≤ 2θ ≤ 90°, in order of falling intensity:
- d 3.937, I = 100
- d 2.712, I = 75
- d 2.792, I = 69
- d 5.594, I = 54
- d 3.101, I = 48
- d 2.894, I = 45
- d 4.245, I = 41
- d 2.988, I = 33

Crystal structure
```
data_DyB4O7
_chemical_formula_sum 'Dy2 B8 O14'
_space_group_name_H-M_alt 'P m n 21'
_space_group_IT_number 31
_space_group_name_Hall 'P 2ac -2'
_cell_length_a 11.188
_cell_length_b 4.588
_cell_length_c 4.207
_cell_angle_alpha 90.00
_cell_angle_beta 90.00
_cell_angle_gamma 90.00
loop_
_atom_site_label
_atom_site_type_symbol
_atom_site_fract_x
_atom_site_fract_y
_atom_site_fract_z
Dy1 Dy 0.000 0.166 0.000
B1 B 0.122 0.667 0.345
B2 B 0.241 0.823 0.809
O1 O 0.000 0.694 0.209
O2 O 0.129 0.754 0.667
O3 O 0.163 0.380 0.252
O4 O 0.209 0.892 0.154
```

# 6
This entry pairs a crystal structure of ZnSi2Ru2 with its calculated PXRD pattern. Radiation: copper Kα. Structure: a cell relaxed with PBE.

Principal peaks in the range 10° ≤ 2θ ≤ 90°, in order of falling intensity:
- d 2.116, I = 100
- d 2.188, I = 65
- d 3.095, I = 47
- d 2.901, I = 37
- d 1.747, I = 32
- d 1.175, I = 22
- d 1.209, I = 18
- d 1.453, I = 11

Crystal structure
```
data_ZnSi2Ru2
_chemical_formula_sum 'Zn2 Si4 Ru4'
_space_group_name_H-M_alt 'P 4/m b m'
_space_group_IT_number 127
_space_group_name_Hall '-P 4 2ab'
_cell_length_a 6.920
_cell_length_b 6.920
_cell_length_c 2.901
_cell_angle_alpha 90.00
_cell_angle_beta 90.00
_cell_angle_gamma 90.00
loop_
_atom_site_label
_atom_site_type_symbol
_atom_site_fract_x
_atom_site_fract_y
_atom_site_fract_z
Zn1 Zn 0.000 0.000 0.000
Si1 Si 0.145 0.355 0.500
Ru1 Ru 0.151 0.651 0.000
```

# 7
This entry pairs a crystal structure of MgTa5 with its calculated PXRD pattern. Radiation: copper Kα. Structure: a cell relaxed with PBE.

Principal peaks in the range 10° ≤ 2θ ≤ 90°, in order of falling intensity:
- d 2.368, I = 100
- d 2.357, I = 25
- d 2.295, I = 23
- d 1.363, I = 18
- d 1.339, I = 16
- d 1.644, I = 16
- d 1.184, I = 11
- d 6.884, I = 11

Crystal structure
```
data_MgTa5
_chemical_formula_sum 'Mg2 Ta10'
_space_group_name_H-M_alt 'C m m m'
_space_group_IT_number 65
_space_group_name_Hall '-C 2 2'
_cell_length_a 3.413
_cell_length_b 13.768
_cell_length_c 4.714
_cell_angle_alpha 90.00
_cell_angle_beta 90.00
_cell_angle_gamma 90.00
loop_
_atom_site_label
_atom_site_type_symbol
_atom_site_fract_x
_atom_site_fract_y
_atom_site_fract_z
Mg1 Mg 0.000 0.000 0.000
Ta1 Ta 0.000 0.167 0.500
Ta2 Ta 0.000 0.330 0.000
Ta3 Ta 0.000 0.500 0.500
```

# 8
This entry pairs a crystal structure of Nd5Rh2 with its calculated PXRD pattern. Radiation: copper Kα. Structure: a cell relaxed with PBE.

Principal peaks in the range 10° ≤ 2θ ≤ 90°, in order of falling intensity:
- d 2.998, I = 100
- d 2.594, I = 39
- d 2.290, I = 34
- d 2.782, I = 32
- d 1.682, I = 31
- d 3.192, I = 30
- d 2.906, I = 29
- d 2.668, I = 27

Crystal structure
```
data_Nd5Rh2
_chemical_formula_sum 'Nd20 Rh8'
_space_group_name_H-M_alt 'C 1 2/c 1'
_space_group_IT_number 15
_space_group_name_Hall '-C 2yc'
_cell_length_a 16.948
_cell_length_b 6.592
_cell_length_c 7.324
_cell_angle_alpha 90.00
_cell_angle_beta 97.13
_cell_angle_gamma 90.00
loop_
_atom_site_label
_atom_site_type_symbol
_atom_site_fract_x
_atom_site_fract_y
_atom_site_fract_z
Nd1 Nd 0.000 0.074 0.250
Nd2 Nd 0.095 0.395 0.920
Nd3 Nd 0.216 0.073 0.314
Rh1 Rh 0.111 0.200 0.578
```

# 9
This entry pairs a crystal structure of Li2CuP4O12 with its calculated PXRD pattern. Radiation: copper Kα. Structure: a cell relaxed with PBE.

Principal peaks in the range 10° ≤ 2θ ≤ 90°, in order of falling intensity:
- d 3.454, I = 100
- d 7.614, I = 65
- d 5.239, I = 55
- d 2.831, I = 35
- d 3.759, I = 29
- d 3.315, I = 25
- d 2.806, I = 18
- d 2.436, I = 14

Crystal structure
```
data_Li2CuP4O12
_chemical_formula_sum 'Li8 Cu4 P16 O48'
_space_group_name_H-M_alt 'C 1 2/c 1'
_space_group_IT_number 15
_space_group_name_Hall '-C 2yc'
_cell_length_a 9.140
_cell_length_b 13.804
_cell_length_c 7.527
_cell_angle_alpha 90.00
_cell_angle_beta 92.94
_cell_angle_gamma 90.00
loop_
_atom_site_label
_atom_site_type_symbol
_atom_site_fract_x
_atom_site_fract_y
_atom_site_fract_z
Li1 Li 0.167 0.156 0.188
Cu1 Cu 0.000 0.372 0.750
P1 P 0.105 0.171 0.612
P2 P 0.151 0.422 0.187
O1 O 0.000 0.120 0.750
O2 O 0.000 0.377 0.250
O3 O 0.044 0.158 0.426
O4 O 0.140 0.468 0.679
O5 O 0.144 0.272 0.681
O6 O 0.199 0.369 0.027
O7 O 0.246 0.103 0.639
```

# 10
This entry pairs a crystal structure of Zr4Hg5 with its calculated PXRD pattern. Radiation: copper Kα. Structure: a cell relaxed with PBE.

Principal peaks in the range 10° ≤ 2θ ≤ 90°, in order of falling intensity:
- d 2.574, I = 100
- d 2.301, I = 36
- d 1.375, I = 28
- d 1.287, I = 23
- d 1.553, I = 21
- d 2.103, I = 14
- d 1.627, I = 12
- d 6.903, I = 10

Crystal structure
```
data_Zr4Hg5
_chemical_formula_sum 'Zr8 Hg10'
_space_group_name_H-M_alt 'I 4/m m m'
_space_group_IT_number 139
_space_group_name_Hall '-I 4 2'
_cell_length_a 9.763
_cell_length_b 9.763
_cell_length_c 4.207
_cell_angle_alpha 90.00
_cell_angle_beta 90.00
_cell_angle_gamma 90.00
loop_
_atom_site_label
_atom_site_type_symbol
_atom_site_fract_x
_atom_site_fract_y
_atom_site_fract_z
Zr1 Zr 0.000 0.331 0.000
Hg1 Hg 0.000 0.000 0.000
Hg2 Hg 0.171 0.171 0.500
```